1.
Simulated PXRD pattern
Compound: Li7Cd2Au
Radiation: Cu Kα X-rays
Structure: a structure optimized by DFT (GGA-PBE)
No peak broadening, texture or thermal motion is included.

```
Li7Cd2Au
1.0
4.5364 0.0000 0.0000
-2.2682 3.9287 0.0000
0.0000 0.0000 10.0743
Li Cd Au
7 2 1
Direct
0.0000 0.0000 0.0000
0.0000 0.0000 0.2293
0.0000 0.0000 0.4759
0.3333 0.6667 0.0314
0.3333 0.6667 0.6321
0.6667 0.3333 0.4489
0.6667 0.3333 0.8603
0.0000 0.0000 0.7375
0.3333 0.6667 0.3228
0.6667 0.3333 0.1410
```

Main lines, in order of falling intensity (5 to 70 degrees two-theta):
2θ = 24.3°, d = 3.660 Å, I = 100
2θ = 28.8°, d = 3.098 Å, I = 48
2θ = 8.8°, d = 10.074 Å, I = 46
2θ = 35.2°, d = 2.553 Å, I = 42
2θ = 39.7°, d = 2.268 Å, I = 37
2θ = 42.6°, d = 2.120 Å, I = 29
2θ = 17.6°, d = 5.037 Å, I = 25
2θ = 47.1°, d = 1.928 Å, I = 17
2θ = 43.8°, d = 2.068 Å, I = 15
2θ = 61.6°, d = 1.506 Å, I = 14

2.
Simulated PXRD pattern
Compound: Sc3Ta
Radiation: Cu Kα X-rays
Structure: a structure optimized by DFT (GGA-PBE)
No peak broadening, texture or thermal motion is included.

```
Sc3Ta
1.0
3.1501 0.0000 0.0000
0.0000 10.0054 0.0000
0.0000 0.0000 5.5701
Sc Ta
6 2
Direct
0.0000 0.0000 0.0000
0.0000 0.2446 0.3298
0.0000 0.7554 0.3298
0.5000 0.2554 0.8298
0.5000 0.5000 0.5000
0.5000 0.7446 0.8298
0.0000 0.5000 0.0032
0.5000 0.0000 0.5032
```

Main lines, in order of falling intensity (5 to 70 degrees two-theta):
2θ = 37.4°, d = 2.405 Å, I = 100
2θ = 18.2°, d = 4.867 Å, I = 69
2θ = 36.9°, d = 2.433 Å, I = 54
2θ = 32.7°, d = 2.742 Å, I = 37
2θ = 17.7°, d = 5.003 Å, I = 36
2θ = 35.9°, d = 2.501 Å, I = 36
2θ = 49.3°, d = 1.848 Å, I = 23
2θ = 29.7°, d = 3.005 Å, I = 20
2θ = 69.8°, d = 1.348 Å, I = 19
2θ = 65.5°, d = 1.425 Å, I = 18

3.
Simulated PXRD pattern
Compound: Ce4Rh12C
Radiation: Cu Kα X-rays
Structure: a structure optimized by DFT (GGA-PBE)
No peak broadening, texture or thermal motion is included.

```
Ce4Rh12C
1.0
-4.1041 4.1041 4.1041
4.1041 -4.1041 4.1041
4.1041 4.1041 -4.1041
Ce Rh C
4 12 1
Direct
0.0000 0.0000 0.5000
0.0000 0.5000 0.0000
0.5000 0.0000 0.0000
0.5000 0.5000 0.5000
0.0000 0.2545 0.2545
0.0000 0.7455 0.7455
0.2500 0.5000 0.7500
0.2500 0.7500 0.5000
0.2545 0.0000 0.2545
0.2545 0.2545 0.0000
0.5000 0.2500 0.7500
0.5000 0.7500 0.2500
0.7455 0.0000 0.7455
0.7455 0.7455 0.0000
0.7500 0.2500 0.5000
0.7500 0.5000 0.2500
0.0000 0.0000 0.0000
```

Main lines, in order of falling intensity (5 to 70 degrees two-theta):
2θ = 38.0°, d = 2.370 Å, I = 100
2θ = 44.1°, d = 2.052 Å, I = 50
2θ = 64.2°, d = 1.451 Å, I = 32
2θ = 30.8°, d = 2.902 Å, I = 2
2θ = 21.7°, d = 4.104 Å, I = 1
2θ = 49.7°, d = 1.835 Å, I = 1
2θ = 54.8°, d = 1.675 Å, I = 1

4.
Simulated PXRD pattern
Compound: Mn4CrFe
Radiation: Cu Kα X-rays
Structure: a structure optimized by DFT (GGA-PBE)
No peak broadening, texture or thermal motion is included.

```
Mn4CrFe
1.0
0.0000 3.2358 3.2358
3.2358 0.0000 3.2358
3.2358 3.2358 0.0000
Mn Cr Fe
4 1 1
Direct
0.1243 0.1243 0.1243
0.1243 0.1243 0.6271
0.1243 0.6271 0.1243
0.6271 0.1243 0.1243
0.5000 0.5000 0.5000
0.7500 0.7500 0.7500
```

Main lines, in order of falling intensity (5 to 70 degrees two-theta):
2θ = 46.5°, d = 1.951 Å, I = 100
2θ = 48.7°, d = 1.868 Å, I = 39
2θ = 39.4°, d = 2.288 Å, I = 29
2θ = 23.8°, d = 3.736 Å, I = 6
2θ = 56.9°, d = 1.618 Å, I = 4
2θ = 62.6°, d = 1.485 Å, I = 1

5.
Simulated PXRD pattern
Compound: Dy8Ge3Te3S
Radiation: Cu Kα X-rays
Structure: a structure optimized by DFT (GGA-PBE)
No peak broadening, texture or thermal motion is included.

```
Dy8Ge3Te3S
1.0
4.1736 2.4096 6.9607
-4.1736 2.4096 6.9607
0.0000 -4.8193 6.9607
Dy Ge Te S
8 3 3 1
Direct
0.2356 0.7435 0.7435
0.2405 0.2405 0.2405
0.2565 0.2565 0.7644
0.2565 0.7644 0.2565
0.7435 0.2356 0.7435
0.7435 0.7435 0.2356
0.7595 0.7595 0.7595
0.7644 0.2565 0.2565
0.0000 0.0000 0.5000
0.0000 0.5000 0.0000
0.5000 0.0000 0.0000
0.0000 0.5000 0.5000
0.5000 0.0000 0.5000
0.5000 0.5000 0.0000
0.5000 0.5000 0.5000
```

Main lines, in order of falling intensity (5 to 70 degrees two-theta):
2θ = 30.1°, d = 2.972 Å, I = 100
2θ = 43.4°, d = 2.087 Å, I = 38
2θ = 42.7°, d = 2.116 Å, I = 34
2θ = 53.7°, d = 1.708 Å, I = 20
2θ = 26.1°, d = 3.416 Å, I = 16
2θ = 62.5°, d = 1.486 Å, I = 11
2θ = 32.8°, d = 2.733 Å, I = 5
2θ = 52.6°, d = 1.740 Å, I = 5
2θ = 59.6°, d = 1.552 Å, I = 5
2θ = 25.6°, d = 3.480 Å, I = 5

6.
Simulated PXRD pattern
Compound: La4AlSn8
Radiation: Cu Kα X-rays
Structure: a structure optimized by DFT (GGA-PBE)
No peak broadening, texture or thermal motion is included.

```
La4AlSn8
1.0
4.4993 0.0000 0.0000
0.0000 4.6516 0.0000
0.0000 0.0000 17.9369
La Al Sn
4 1 8
Direct
0.0000 0.0000 0.0000
0.0000 0.5000 0.4840
0.5000 0.0000 0.7877
0.5000 0.5000 0.2855
0.0000 0.5000 0.7178
0.0000 0.0000 0.3265
0.0000 0.0000 0.6275
0.0000 0.5000 0.1399
0.0000 0.5000 0.8638
0.5000 0.0000 0.1461
0.5000 0.0000 0.4369
0.5000 0.5000 0.6263
0.5000 0.5000 0.9764
```

Main lines, in order of falling intensity (5 to 70 degrees two-theta):
2θ = 31.5°, d = 2.844 Å, I = 100
2θ = 65.6°, d = 1.423 Å, I = 19
2θ = 38.7°, d = 2.326 Å, I = 17
2θ = 40.1°, d = 2.250 Å, I = 16
2θ = 29.9°, d = 2.989 Å, I = 14
2θ = 56.9°, d = 1.617 Å, I = 11
2θ = 67.5°, d = 1.388 Å, I = 11
2θ = 36.1°, d = 2.490 Å, I = 7
2θ = 49.7°, d = 1.836 Å, I = 7
2θ = 24.2°, d = 3.671 Å, I = 7